For PmDy5Sc3, a cell relaxed with GGA-PBE gives the calculated powder diffraction line list in this record (a wavelength of 1.5418 Å).

Atomic structure:
Unit cell a=8.646 b=8.646 c=10.397 alpha=117.06 beta=117.06 gamma=76.49
Fractional positions:
Pm 0.235 0.235 0.330
Pm 0.765 0.765 0.670
Dy 0.153 0.153 0.593
Dy 0.164 0.633 0.263
Dy 0.279 0.721 0.000
Dy 0.301 0.301 0.989
Dy 0.367 0.836 0.737
Dy 0.633 0.164 0.263
Dy 0.699 0.699 0.011
Dy 0.721 0.279 0.000
Dy 0.836 0.367 0.737
Dy 0.847 0.847 0.407
Sc 0.000 0.000 0.000
Sc 0.027 0.027 0.763
Sc 0.428 0.428 0.740
Sc 0.500 0.500 0.500
Sc 0.572 0.572 0.260
Sc 0.973 0.973 0.237

Top 8 peaks for 10 to 90 degrees two-theta, by angle:
- 3.847 Å, I 52
- 3.746 Å, I 27
- 2.902 Å, I 100
- 2.858 Å, I 39
- 2.739 Å, I 38
- 2.676 Å, I 52
- 2.627 Å, I 30
- 2.220 Å, I 29